# 1
# B
Simulated powder diffractogram, Cu Kα. Input: a structure optimized by DFT (PBE).
Peak positions follow from Bragg's law for the DFT cell and can differ from measured ones.

Crystal structure
Unit cell a=5.043 b=5.612 c=6.915 alpha=90.00 beta=90.00 gamma=90.00
Element x y z (fractional)
B: 0.148 0.228 0.000
B: 0.153 0.407 0.209
B: 0.153 0.407 0.791
B: 0.161 0.719 0.126
B: 0.161 0.719 0.874
B: 0.165 0.992 0.500
B: 0.170 0.479 0.500
B: 0.330 0.979 0.000
B: 0.335 0.492 0.000
B: 0.339 0.219 0.374
B: 0.339 0.219 0.626
B: 0.347 0.907 0.291
B: 0.347 0.907 0.709
B: 0.352 0.728 0.500
B: 0.648 0.272 0.500
B: 0.653 0.093 0.291
B: 0.653 0.093 0.709
B: 0.661 0.781 0.374
B: 0.661 0.781 0.626
B: 0.665 0.508 0.000
B: 0.670 0.021 0.000
B: 0.830 0.521 0.500
B: 0.835 0.008 0.500
B: 0.839 0.281 0.126
B: 0.839 0.281 0.874
B: 0.847 0.593 0.209
B: 0.847 0.593 0.791
B: 0.852 0.772 0.000

The 8 most intense peaks (10° ≤ 2θ ≤ 90°), low angle first:
2θ/deg	d [Å]	intensity
20.38	4.358	32.6
21.81	4.074	34.1
23.72	3.751	69.8
25.77	3.457	36.9
35.61	2.521	63.1
38.97	2.311	100.0
66.19	1.412	59.7
67.82	1.382	33.8


# 2
# LiPm2Pb
Simulated powder diffractogram, Cu Kα. Input: a structure optimized by DFT (PBE).
Peak positions follow from Bragg's law for the DFT cell and can differ from measured ones.

Crystal structure
Unit cell a=7.649 b=7.649 c=7.649 alpha=90.00 beta=90.00 gamma=90.00
Element x y z (fractional)
Li: 0.000 0.000 0.000
Li: 0.000 0.500 0.500
Li: 0.500 0.000 0.500
Li: 0.500 0.500 0.000
Pm: 0.250 0.250 0.250
Pm: 0.250 0.250 0.750
Pm: 0.250 0.750 0.250
Pm: 0.250 0.750 0.750
Pm: 0.750 0.250 0.250
Pm: 0.750 0.250 0.750
Pm: 0.750 0.750 0.250
Pm: 0.750 0.750 0.750
Pb: 0.000 0.000 0.500
Pb: 0.000 0.500 0.000
Pb: 0.500 0.000 0.000
Pb: 0.500 0.500 0.500

The 8 most intense peaks (10° ≤ 2θ ≤ 90°), low angle first:
2θ/deg	d [Å]	intensity
20.11	4.416	35.0
33.13	2.704	100.0
39.06	2.306	20.3
47.55	1.912	18.4
52.12	1.755	9.0
59.18	1.561	38.5
69.52	1.352	12.0
79.20	1.209	16.8


# 3
# DySbPt
Simulated powder diffractogram, Cu Kα. Input: a structure optimized by DFT (PBE).
Peak positions follow from Bragg's law for the DFT cell and can differ from measured ones.

Crystal structure
Unit cell a=6.615 b=6.615 c=6.615 alpha=90.00 beta=90.00 gamma=90.00
Element x y z (fractional)
Dy: 0.000 0.000 0.000
Dy: 0.000 0.500 0.500
Dy: 0.500 0.000 0.500
Dy: 0.500 0.500 0.000
Sb: 0.000 0.000 0.500
Sb: 0.000 0.500 0.000
Sb: 0.500 0.000 0.000
Sb: 0.500 0.500 0.500
Pt: 0.250 0.250 0.750
Pt: 0.250 0.750 0.250
Pt: 0.750 0.250 0.250
Pt: 0.750 0.750 0.750

The 8 most intense peaks (10° ≤ 2θ ≤ 90°), low angle first:
2θ/deg	d [Å]	intensity
23.29	3.819	41.3
38.49	2.339	100.0
45.47	1.995	21.6
55.57	1.654	17.3
61.06	1.518	9.1
69.63	1.350	35.2
82.48	1.169	11.2
87.17	1.118	7.1


# 4
# Cu3O4
Simulated powder diffractogram, Cu Kα. Input: a structure optimized by DFT (PBE).
Peak positions follow from Bragg's law for the DFT cell and can differ from measured ones.

Crystal structure
Unit cell a=6.377 b=6.377 c=6.377 alpha=60.00 beta=60.00 gamma=60.00
Element x y z (fractional)
Cu: 0.000 0.000 0.500
Cu: 0.000 0.500 0.000
Cu: 0.000 0.500 0.500
Cu: 0.500 0.000 0.000
Cu: 0.500 0.000 0.500
Cu: 0.500 0.500 0.000
O: 0.142 0.142 0.142
O: 0.142 0.142 0.573
O: 0.142 0.573 0.142
O: 0.427 0.858 0.858
O: 0.573 0.142 0.142
O: 0.858 0.427 0.858
O: 0.858 0.858 0.427
O: 0.858 0.858 0.858

The 8 most intense peaks (10° ≤ 2θ ≤ 90°), low angle first:
2θ/deg	d [Å]	intensity
19.69	4.510	52.1
27.98	3.189	26.4
34.45	2.604	100.0
39.99	2.255	25.7
44.95	2.017	10.5
49.51	1.841	12.3
57.83	1.594	46.3
69.08	1.360	35.2


# 5
# BaC4O4
Simulated powder diffractogram, Cu Kα. Input: a structure optimized by DFT (PBE).
Peak positions follow from Bragg's law for the DFT cell and can differ from measured ones.

Crystal structure
Unit cell a=7.761 b=7.761 c=7.761 alpha=130.78 beta=130.78 gamma=72.16
Element x y z (fractional)
Ba: 0.250 0.250 0.000
Ba: 0.750 0.750 0.000
C: 0.022 0.522 0.661
C: 0.139 0.639 0.661
C: 0.361 0.022 0.500
C: 0.478 0.139 0.500
C: 0.522 0.861 0.500
C: 0.639 0.978 0.500
C: 0.861 0.361 0.339
C: 0.978 0.478 0.339
O: 0.047 0.547 0.855
O: 0.192 0.047 0.500
O: 0.308 0.808 0.855
O: 0.453 0.308 0.500
O: 0.547 0.692 0.500
O: 0.692 0.192 0.145
O: 0.808 0.953 0.500
O: 0.953 0.453 0.145

The 8 most intense peaks (10° ≤ 2θ ≤ 90°), low angle first:
2θ/deg	d [Å]	intensity
14.12	6.272	32.5
19.42	4.571	20.2
24.09	3.694	100.0
31.13	2.873	25.6
34.69	2.586	31.0
40.06	2.251	30.9
44.32	2.044	18.9
46.74	1.943	24.0